Starting from a PBE-relaxed structure, the powder diffraction line list of Cr2Ru2Au was simulated for Cu Kα.
Peak positions follow from Bragg's law for the DFT cell and can differ from measured ones.

Atomic structure:
Cell: 7.1833 7.1833 2.7425 Å, 90.00 90.00 90.00°
Space group P4/mbm (No. 127)
Asymmetric unit:
Cr 0.1204 0.3796 0.0000
Ru 0.1672 0.6672 0.5000
Au 0.0000 0.0000 0.0000

Most intense lines, 10° ≤ 2θ ≤ 90°, low angle first:
2θ 17.46, I = 22, hkl 1 1 0
2θ 35.34, I = 35, hkl 2 2 0
2θ 37.26, I = 36, hkl 1 1 1
2θ 39.68, I = 100, hkl 3 1 0
2θ 41.43, I = 69, hkl 2 0 1
2θ 43.38, I = 64, hkl 2 1 1
2θ 57.37, I = 17, hkl 4 2 0
2θ 64.70, I = 25, hkl 3 3 1
2θ 75.93, I = 23, hkl 5 1 1
2θ 82.10, I = 24, hkl 3 1 2

=====

Starting from a PBE-relaxed structure, the powder diffraction line list of Cr2SiAu was simulated for Cu Kα.
Peak positions follow from Bragg's law for the DFT cell and can differ from measured ones.

Atomic structure:
Cell: 3.8281 3.8281 3.8147 Å, 90.00 90.00 90.00°
Space group P4/mmm (No. 123)
Asymmetric unit:
Cr 0.0000 0.5000 0.0000
Si 0.0000 0.0000 0.5000
Au 0.5000 0.5000 0.5000

Most intense lines, 10° ≤ 2θ ≤ 90°, low angle first:
2θ 23.25, I = 67, hkl 1 0 0
2θ 33.14, I = 57, hkl 1 0 1
2θ 40.88, I = 100, hkl 1 1 1
2θ 47.50, I = 32, hkl 2 0 0
2θ 47.68, I = 16, hkl 0 0 2
2θ 53.54, I = 19, hkl 2 1 0
2θ 53.69, I = 12, hkl 1 0 2
2θ 59.15, I = 18, hkl 2 1 1
2θ 69.58, I = 20, hkl 2 0 2
2θ 83.85, I = 24, hkl 3 1 1